# 1
Computed XRD peak list
Compound: NpBr4F
Radiation: λ = 1.5418 Å (Cu Kα)
Structure: a PBE-relaxed structure
No peak broadening, texture or thermal motion is included.

Most intense lines, 2θ = 5–70°, by intensity:
| d/Å | I (rel.) | (hkl) |
| --- | --- | --- |
| 4.103 | 100 | 1 0 1 |
| 7.208 | 83 | 1 1 0 |
| 3.223 | 47 | 1 3 0 |
| 2.165 | 45 | 1 4 1 |
| 5.097 | 26 | 2 0 0 |
| 2.279 | 22 | 4 2 0 |

Atomic structure:
a b c (Å): 10.194 10.194 4.483
angles (deg): 90.00 90.00 90.00
Space group I4/m (No. 87)
Asymmetric unit:
Np: 0.000 0.000 0.000
Br: 0.063 0.252 0.000
F: 0.000 0.000 0.500



# 2
Computed XRD peak list
Compound: NpBrF3
Radiation: λ = 1.5418 Å (Cu Kα)
Structure: a PBE-relaxed structure
No peak broadening, texture or thermal motion is included.

Most intense lines, 2θ = 5–70°, by intensity:
| d/Å | I (rel.) | (hkl) |
| --- | --- | --- |
| 3.476 | 100 | 1 1 1 |
| 4.255 | 80 | 1 0 1 |
| 6.023 | 62 | 0 1 0 |
| 2.007 | 47 | 2 1 2 |
| 2.458 | 36 | 1 2 1 |
| 3.350 | 34 | 2 0 0 |

Atomic structure:
a b c (Å): 6.699 6.023 5.510
angles (deg): 90.00 90.00 90.00
Space group Pmn2_1 (No. 31)
Asymmetric unit:
Np: 0.000 0.005 0.000
Br: 0.000 0.626 0.262
F: 0.000 0.279 0.789
F: 0.249 0.113 0.256



Question: Which formula does entry 2 have?
Answer: NpBrF3